Record 1
Structure and theoretical XRD peak list of Hf3Co4Bi2Sb2 (a cell relaxed with PBE; Cu Kα (weighted mean of Kα1 and Kα2)).

Largest 10 diffraction maxima, by angle, 10 to 90 degrees two-theta:
hkl 1 0 1, 2θ 16.25, d = 5.455 Å, I = 15
hkl 1 1 0, 2θ 20.63, d = 4.304 Å, I = 17
hkl 0 0 4, 2θ 29.05, d = 3.073 Å, I = 28
hkl 2 0 0, 2θ 29.34, d = 3.044 Å, I = 55
hkl 2 0 4, 2θ 41.77, d = 2.163 Å, I = 100
hkl 2 2 0, 2θ 41.98, d = 2.152 Å, I = 50
hkl 2 2 4, 2θ 51.86, d = 1.763 Å, I = 24
hkl 4 0 0, 2θ 60.87, d = 1.522 Å, I = 16
hkl 2 2 8, 2θ 76.11, d = 1.251 Å, I = 17
hkl 4 2 4, 2θ 76.55, d = 1.245 Å, I = 33

Cell and atoms:
```
data_Hf3Co4Bi2Sb2
_chemical_formula_sum 'Hf6 Co8 Bi4 Sb4'
_space_group_name_H-M_alt 'I -4 2 m'
_space_group_IT_number 121
_space_group_name_Hall 'I -4 2'
_cell_length_a 6.087
_cell_length_b 6.087
_cell_length_c 12.293
_cell_angle_alpha 90.00
_cell_angle_beta 90.00
_cell_angle_gamma 90.00
loop_
_atom_site_label
_atom_site_type_symbol
_atom_site_fract_x
_atom_site_fract_y
_atom_site_fract_z
_atom_site_occupancy
Hf1 Hf 0.000 0.000 0.000 1
Hf2 Hf 0.000 0.500 0.250 1
Co1 Co 0.247 0.247 0.870 1
Bi1 Bi 0.000 0.500 0.000 1
Sb1 Sb 0.000 0.000 0.254 1
```



Record 2
Structure and theoretical XRD peak list of Lu2ScIn3Au2 (a cell relaxed with PBE; Cu Kα (weighted mean of Kα1 and Kα2)).

Largest 10 diffraction maxima, by angle, 10 to 90 degrees two-theta:
hkl 0 2 0, 2θ 13.27, d = 6.672 Å, I = 35
hkl 1 0 2, 2θ 34.70, d = 2.585 Å, I = 100
hkl 0 5 1, 2θ 35.62, d = 2.520 Å, I = 51
hkl 0 1 3, 2θ 35.75, d = 2.511 Å, I = 21
hkl 1 2 2, 2θ 37.31, d = 2.410 Å, I = 58
hkl 0 3 3, 2θ 40.69, d = 2.217 Å, I = 21
hkl 1 5 1, 2θ 44.31, d = 2.044 Å, I = 16
hkl 2 0 0, 2θ 52.38, d = 1.747 Å, I = 15
hkl 2 5 1, 2θ 64.96, d = 1.436 Å, I = 18
hkl 1 7 3, 2θ 66.77, d = 1.401 Å, I = 14

Cell and atoms:
```
data_Lu2ScIn3Au2
_chemical_formula_sum 'Lu4 Sc2 In6 Au4'
_space_group_name_H-M_alt 'A m m 2'
_space_group_IT_number 38
_space_group_name_Hall 'A 2 -2'
_cell_length_a 3.493
_cell_length_b 13.353
_cell_length_c 7.671
_cell_angle_alpha 90.00
_cell_angle_beta 90.00
_cell_angle_gamma 90.00
loop_
_atom_site_label
_atom_site_type_symbol
_atom_site_fract_x
_atom_site_fract_y
_atom_site_fract_z
_atom_site_occupancy
Lu1 Lu 0.000 0.206 0.000 1
Sc1 Sc 0.000 0.000 0.385 1
In1 In 0.500 0.000 0.029 1
In2 In 0.500 0.114 0.677 1
Au1 Au 0.500 0.164 0.296 1
```



Record 3
Structure and theoretical XRD peak list of LiAcTbS3 (a cell relaxed with PBE; Cu Kα (weighted mean of Kα1 and Kα2)).

Largest 10 diffraction maxima, by angle, 10 to 90 degrees two-theta:
hkl 2 0 2, 2θ 22.22, d = 4.001 Å, I = 100
hkl 1 1 1, 2θ 24.69, d = 3.606 Å, I = 41
hkl 0 0 4, 2θ 27.08, d = 3.293 Å, I = 23
hkl 1 1 3, 2θ 31.37, d = 2.851 Å, I = 51
hkl 2 1 3, 2θ 35.05, d = 2.560 Å, I = 26
hkl 3 1 1, 2θ 35.42, d = 2.534 Å, I = 32
hkl 4 0 0, 2θ 35.65, d = 2.518 Å, I = 21
hkl 0 2 0, 2θ 44.86, d = 2.020 Å, I = 23
hkl 2 0 6, 2θ 45.05, d = 2.012 Å, I = 23
hkl 2 2 2, 2θ 50.62, d = 1.803 Å, I = 23

Cell and atoms:
```
data_LiAcTbS3
_chemical_formula_sum 'Li4 Ac4 Tb4 S12'
_space_group_name_H-M_alt 'A m m 2'
_space_group_IT_number 38
_space_group_name_Hall 'A 2 -2'
_cell_length_a 10.073
_cell_length_b 4.040
_cell_length_c 13.171
_cell_angle_alpha 90.00
_cell_angle_beta 90.00
_cell_angle_gamma 90.00
loop_
_atom_site_label
_atom_site_type_symbol
_atom_site_fract_x
_atom_site_fract_y
_atom_site_fract_z
_atom_site_occupancy
Li1 Li 0.000 0.000 0.000 1
Li2 Li 0.500 0.000 0.039 1
Ac1 Ac 0.000 0.000 0.275 1
Ac2 Ac 0.500 0.000 0.764 1
Tb1 Tb 0.250 0.000 0.520 1
S1 S 0.000 0.000 0.602 1
S2 S 0.181 0.000 0.882 1
S3 S 0.319 0.000 0.157 1
S4 S 0.500 0.000 0.437 1
```



Record 4
Structure and theoretical XRD peak list of Hg2Te2PtF2 (a cell relaxed with PBE; Cu Kα (weighted mean of Kα1 and Kα2)).

Largest 10 diffraction maxima, by angle, 10 to 90 degrees two-theta:
hkl 1 0 1, 2θ 24.00, d = 3.709 Å, I = 25
hkl 1 0 2, 2θ 29.80, d = 2.998 Å, I = 100
hkl 1 1 0, 2θ 30.94, d = 2.890 Å, I = 24
hkl 1 1 1, 2θ 32.60, d = 2.747 Å, I = 16
hkl 1 1 2, 2θ 37.19, d = 2.417 Å, I = 56
hkl 2 0 0, 2θ 44.32, d = 2.044 Å, I = 40
hkl 1 0 4, 2θ 46.81, d = 1.941 Å, I = 32
hkl 1 1 4, 2θ 52.17, d = 1.753 Å, I = 16
hkl 2 1 2, 2θ 54.33, d = 1.689 Å, I = 38
hkl 2 1 4, 2θ 66.43, d = 1.407 Å, I = 22

Cell and atoms:
```
data_Hg2Te2PtF2
_chemical_formula_sum 'Hg2 Te2 Pt1 F2'
_space_group_name_H-M_alt 'P -4 m 2'
_space_group_IT_number 115
_space_group_name_Hall 'P -4 -2'
_cell_length_a 4.087
_cell_length_b 4.087
_cell_length_c 8.821
_cell_angle_alpha 90.00
_cell_angle_beta 90.00
_cell_angle_gamma 90.00
loop_
_atom_site_label
_atom_site_type_symbol
_atom_site_fract_x
_atom_site_fract_y
_atom_site_fract_z
_atom_site_occupancy
Hg1 Hg 0.000 0.500 0.162 1
Te1 Te 0.000 0.500 0.683 1
Pt1 Pt 0.500 0.500 0.500 1
F1 F 0.000 0.000 0.000 1
F2 F 0.500 0.500 0.000 1
```



Record 5
Structure and theoretical XRD peak list of Hg2Br3Cl (a cell relaxed with PBE; Cu Kα (weighted mean of Kα1 and Kα2)).

Largest 10 diffraction maxima, by angle, 10 to 90 degrees two-theta:
hkl 0 0 2, 2θ 14.67, d = 6.038 Å, I = 95
hkl 0 1 1, 2θ 22.10, d = 4.022 Å, I = 78
hkl 1 0 1, 2θ 22.41, d = 3.967 Å, I = 100
hkl 0 1 2, 2θ 25.57, d = 3.484 Å, I = 33
hkl 1 0 2, 2θ 25.84, d = 3.448 Å, I = 31
hkl 0 1 3, 2θ 30.53, d = 2.928 Å, I = 49
hkl 1 0 3, 2θ 30.77, d = 2.906 Å, I = 33
hkl 1 1 2, 2θ 33.42, d = 2.681 Å, I = 76
hkl 1 1 4, 2θ 42.53, d = 2.125 Å, I = 93
hkl 2 0 0, 2θ 43.06, d = 2.101 Å, I = 41

Cell and atoms:
```
data_Hg2Br3Cl
_chemical_formula_sum 'Hg2 Br3 Cl1'
_space_group_name_H-M_alt 'P m m 2'
_space_group_IT_number 25
_space_group_name_Hall 'P 2 -2'
_cell_length_a 4.200
_cell_length_b 4.266
_cell_length_c 12.076
_cell_angle_alpha 90.00
_cell_angle_beta 90.00
_cell_angle_gamma 90.00
loop_
_atom_site_label
_atom_site_type_symbol
_atom_site_fract_x
_atom_site_fract_y
_atom_site_fract_z
_atom_site_occupancy
Hg1 Hg 0.000 0.000 0.000 1
Hg2 Hg 0.500 0.500 0.499 1
Br1 Br 0.000 0.500 0.864 1
Br2 Br 0.500 0.000 0.137 1
Br3 Br 0.500 0.000 0.633 1
Cl1 Cl 0.000 0.500 0.376 1
```



Record 6
Structure and theoretical XRD peak list of Li4Al2NiAu (a cell relaxed with PBE; Cu Kα (weighted mean of Kα1 and Kα2)).

Largest 10 diffraction maxima, by angle, 10 to 90 degrees two-theta:
hkl 0 0 1, 2θ 14.60, d = 6.066 Å, I = 19
hkl 1 0 0, 2θ 20.86, d = 4.258 Å, I = 21
hkl 1 0 1, 2θ 25.56, d = 3.485 Å, I = 100
hkl 1 1 0, 2θ 29.67, d = 3.011 Å, I = 23
hkl 1 1 1, 2θ 33.22, d = 2.697 Å, I = 15
hkl 1 1 2, 2θ 42.30, d = 2.137 Å, I = 45
hkl 2 0 0, 2θ 42.46, d = 2.129 Å, I = 23
hkl 1 0 3, 2θ 49.93, d = 1.827 Å, I = 16
hkl 2 1 1, 2θ 50.21, d = 1.817 Å, I = 32
hkl 3 1 2, 2θ 77.57, d = 1.231 Å, I = 15

Cell and atoms:
```
data_Li4Al2NiAu
_chemical_formula_sum 'Li4 Al2 Ni1 Au1'
_space_group_name_H-M_alt 'P -4 m 2'
_space_group_IT_number 115
_space_group_name_Hall 'P -4 -2'
_cell_length_a 4.258
_cell_length_b 4.258
_cell_length_c 6.066
_cell_angle_alpha 90.00
_cell_angle_beta 90.00
_cell_angle_gamma 90.00
loop_
_atom_site_label
_atom_site_type_symbol
_atom_site_fract_x
_atom_site_fract_y
_atom_site_fract_z
_atom_site_occupancy
Li1 Li 0.000 0.000 0.000 1
Li2 Li 0.000 0.500 0.740 1
Li3 Li 0.500 0.500 0.500 1
Al1 Al 0.000 0.500 0.273 1
Ni1 Ni 0.000 0.000 0.500 1
Au1 Au 0.500 0.500 0.000 1
```



Record 7
Structure and theoretical XRD peak list of Cu7Ag3 (a cell relaxed with PBE; Cu Kα (weighted mean of Kα1 and Kα2)).

Largest 10 diffraction maxima, by angle, 10 to 90 degrees two-theta:
hkl 1 0 2, 2θ 33.90, d = 2.644 Å, I = 6
hkl 0 0 7, 2θ 35.25, d = 2.546 Å, I = 3
hkl 1 0 5, 2θ 41.29, d = 2.187 Å, I = 100
hkl 1 1 0, 2θ 46.38, d = 1.958 Å, I = 37
hkl 0 0 10, 2θ 51.26, d = 1.782 Å, I = 11
hkl 2 0 0, 2θ 67.68, d = 1.384 Å, I = 11
hkl 1 1 10, 2θ 71.60, d = 1.318 Å, I = 16
hkl 2 1 5, 2θ 82.47, d = 1.170 Å, I = 24
hkl 2 0 10, 2θ 89.68, d = 1.093 Å, I = 9
hkl 1 0 15, 2θ 89.83, d = 1.092 Å, I = 7

Cell and atoms:
```
data_Cu7Ag3
_chemical_formula_sum 'Cu7 Ag3'
_space_group_name_H-M_alt 'P 4/m m m'
_space_group_IT_number 123
_space_group_name_Hall '-P 4 2'
_cell_length_a 2.769
_cell_length_b 2.769
_cell_length_c 17.823
_cell_angle_alpha 90.00
_cell_angle_beta 90.00
_cell_angle_gamma 90.00
loop_
_atom_site_label
_atom_site_type_symbol
_atom_site_fract_x
_atom_site_fract_y
_atom_site_fract_z
_atom_site_occupancy
Cu1 Cu 0.000 0.000 0.000 1
Cu2 Cu 0.000 0.000 0.393 1
Cu3 Cu 0.500 0.500 0.088 1
Cu4 Cu 0.500 0.500 0.305 1
Ag1 Ag 0.000 0.000 0.197 1
Ag2 Ag 0.500 0.500 0.500 1
```



Record 8
Structure and theoretical XRD peak list of Pr2Nd2CBr3Cl2 (a cell relaxed with PBE; Cu Kα (weighted mean of Kα1 and Kα2)).

Largest 10 diffraction maxima, by angle, 10 to 90 degrees two-theta:
hkl 0 0 1, 2θ 10.93, d = 8.097 Å, I = 65
hkl 6 0 0, 2θ 30.16, d = 2.963 Å, I = 47
hkl 3 1 1, 2θ 30.77, d = 2.906 Å, I = 19
hkl 1 1 -2, 2θ 31.12, d = 2.874 Å, I = 100
hkl 5 1 -1, 2θ 33.59, d = 2.668 Å, I = 26
hkl 5 1 0, 2θ 33.91, d = 2.643 Å, I = 15
hkl 7 1 -2, 2θ 43.41, d = 2.084 Å, I = 27
hkl 5 1 2, 2θ 44.36, d = 2.042 Å, I = 31
hkl 0 2 0, 2θ 45.92, d = 1.976 Å, I = 18
hkl 6 2 0, 2θ 55.93, d = 1.644 Å, I = 16

Cell and atoms:
```
data_Pr2Nd2CBr3Cl2
_chemical_formula_sum 'Pr4 Nd4 C2 Br6 Cl4'
_space_group_name_H-M_alt 'C 1 2/m 1'
_space_group_IT_number 12
_space_group_name_Hall '-C 2y'
_cell_length_a 18.393
_cell_length_b 3.952
_cell_length_c 8.378
_cell_angle_alpha 90.00
_cell_angle_beta 104.87
_cell_angle_gamma 90.00
loop_
_atom_site_label
_atom_site_type_symbol
_atom_site_fract_x
_atom_site_fract_y
_atom_site_fract_z
_atom_site_occupancy
Pr1 Pr 0.143 0.000 0.085 1
Nd1 Nd 0.000 0.500 0.208 1
C1 C 0.000 0.000 0.000 1
Br1 Br 0.000 0.000 0.500 1
Br2 Br 0.169 0.500 0.830 1
Cl1 Cl 0.160 0.500 0.337 1
```